This entry pairs a crystal structure of PrNdDy3 with its theoretical X-ray diffraction stick pattern. Radiation: Cu Kα X-rays. Structure: a GGA-PBE-relaxed structure.
Peak positions follow from Bragg's law for the DFT cell and can differ from measured ones.

The 12 most intense peaks (10 to 90 degrees two-theta), in order of rising 2θ:
27.90 deg, I 33, (0 1 2)
28.84 deg, I 52, (2 -1 0)
29.06 deg, I 100, (-1 2 1)
29.93 deg, I 57, (0 0 3)
31.01 deg, I 19, (0 1 -3)
31.59 deg, I 52, (0 2 -1)
31.83 deg, I 29, (-2 2 1)
32.07 deg, I 17, (0 2 0)
32.34 deg, I 20, (2 0 -2)
33.51 deg, I 66, (1 1 1)
33.80 deg, I 53, (1 -2 2)
34.31 deg, I 51, (-2 1 3)

Structure:
Unit cell a=6.5451 b=6.5576 c=9.6458 alpha=90.43 beta=108.59 gamma=119.66
Sites, in units of the cell vectors:
Pr  0.0000  0.0000  0.0000
Pr  0.0000  0.5000  0.5000
Nd  0.2902  0.4424  0.3087
Nd  0.7098  0.5576  0.6913
Dy  0.1332  0.1407  0.6873
Dy  0.3106  0.6534  0.9552
Dy  0.4486  0.0161  0.3123
Dy  0.5514  0.9839  0.6877
Dy  0.6894  0.3466  0.0448
Dy  0.8668  0.8593  0.3127